Record 1
Computed X-ray powder pattern
Compound: V2Cu5H4O12
Radiation: CuKα
Structure: a structure optimized by DFT (PBE+U)
No peak broadening, texture or thermal motion is included.

Top 10 peaks for 10 to 80 degrees two-theta, sorted by position:
2θ (°)	I (rel.)
18.44	100.0
24.53	40.5
32.44	45.4
34.58	59.1
35.81	38.7
37.54	38.1
42.57	24.6
46.20	18.9
50.26	16.8
59.47	16.8

Structural model:
Unit cell a=5.521 b=6.304 c=6.946 alpha=93.57 beta=90.57 gamma=90.35
Space group P-1 (No. 2)
Symmetry-distinct sites (fractional):
V 0.057 0.191 0.314 x2
Cu 0.003 0.683 0.178 x2
Cu 0.496 0.153 0.662 x2
Cu 0.500 0.500 0.000 x1
H 0.291 0.879 0.991 x2
H 0.299 0.526 0.655 x2
O 0.106 0.021 0.804 x2
O 0.112 0.387 0.149 x2
O 0.125 0.705 0.509 x2
O 0.332 0.417 0.751 x2
O 0.334 0.771 0.085 x2
O 0.349 0.117 0.405 x2

***

Record 2
Computed X-ray powder pattern
Compound: Li4WO6
Radiation: CuKα
Structure: a structure optimized by DFT (PBE+U)
No peak broadening, texture or thermal motion is included.

Top 10 peaks for 10 to 80 degrees two-theta, sorted by position:
2θ (°)	I (rel.)
18.55	66.4
20.27	42.3
20.70	100.0
21.98	71.8
27.61	47.4
32.91	37.1
35.39	17.9
35.75	21.9
39.55	21.0
44.29	31.8

Structural model:
Unit cell a=5.461 b=8.761 c=5.309 alpha=90.00 beta=115.70 gamma=90.00
Space group C2/m (No. 12)
Symmetry-distinct sites (fractional):
Li 0.000 0.155 0.000 x4
Li 0.000 0.318 0.500 x4
W 0.000 0.500 0.000 x2
O 0.213 0.500 0.785 x4
O 0.228 0.338 0.235 x8